Record 1
Theoretical X-ray powder pattern of K3Na5V3Mo5O24 for copper Kα, from DFT lattice parameters and positions (PBE+U).

Peak list (10 most intense, 2θ from 10° to 90°, sorted by position)
22.52 deg, d 3.947, rel. 33
22.65 deg, d 3.926, rel. 65
32.15 deg, d 2.784, rel. 100
32.24 deg, d 2.776, rel. 50
45.98 deg, d 1.974, rel. 24
46.24 deg, d 1.963, rel. 48
52.08 deg, d 1.756, rel. 15
57.25 deg, d 1.609, rel. 13
57.37 deg, d 1.606, rel. 18
57.47 deg, d 1.604, rel. 23

abc: 7.8500 7.8559 7.8947
angles: 89.88 89.92 89.98
Positions (direct):
1 K 0.0000 0.0000 0.0000
2 K 0.9997 0.0003 0.4788
3 K 0.4911 0.0000 0.9996
4 Na 0.0034 0.5125 0.0093
5 Na 0.0035 0.5125 0.4685
6 Na 0.4873 0.5124 0.0091
7 Na 0.4874 0.5126 0.4689
8 Na 0.4873 0.9969 0.4690
9 V 0.2468 0.2553 0.2403
10 V 0.2472 0.7472 0.2400
11 V 0.7450 0.7503 0.2406
12 Mo 0.2462 0.2585 0.7380
13 Mo 0.2460 0.7538 0.7378
14 Mo 0.7444 0.2575 0.2413
15 Mo 0.7445 0.7525 0.7381
16 Mo 0.7448 0.2568 0.7395
17 O 0.2461 0.2607 0.9795
18 O 0.2462 0.4961 0.2396
19 O 0.2464 0.5050 0.7366
20 O 0.2462 0.7461 0.9789
21 O 0.2475 0.0032 0.7370
22 O 0.2483 0.2598 0.4972
23 O 0.2488 0.7494 0.4976
24 O 0.2496 0.0201 0.2434
25 O 0.4938 0.2576 0.7376
26 O 0.4948 0.7512 0.7374
27 O 0.5016 0.2622 0.2415
28 O 0.5058 0.7501 0.2428
29 O 0.7422 0.0140 0.2426
30 O 0.7433 0.5000 0.2396
31 O 0.7432 0.7502 0.4972
32 O 0.7436 0.0020 0.7372
33 O 0.7436 0.2591 0.4948
34 O 0.7444 0.2598 0.9831
35 O 0.7444 0.7476 0.9795
36 O 0.7447 0.5059 0.7371
37 O 0.9835 0.7470 0.2398
38 O 0.9879 0.2628 0.2395
39 O 0.9964 0.7504 0.7371
40 O 0.9975 0.2586 0.7374

---

Record 2
Theoretical X-ray powder pattern of V2CdP2O14 for copper Kα, from DFT lattice parameters and positions (PBE+U).

Peak list (10 most intense, 2θ from 10° to 90°, sorted by position)
12.70 deg, d 6.969, rel. 66
13.96 deg, d 6.346, rel. 79
14.25 deg, d 6.213, rel. 72
17.47 deg, d 5.077, rel. 76
19.20 deg, d 4.622, rel. 100
20.05 deg, d 4.428, rel. 73
25.56 deg, d 3.485, rel. 73
29.46 deg, d 3.031, rel. 86
30.60 deg, d 2.922, rel. 49
33.50 deg, d 2.675, rel. 48

abc: 6.3013 6.3486 7.0713
angles: 91.74 99.58 90.01
Positions (direct):
1 V 0.0000 0.0000 0.0000
2 V 0.4567 0.4902 0.8133
3 Cd 0.2643 0.7470 0.3805
4 P 0.4747 0.9898 0.9080
5 P 0.9796 0.4953 0.9034
6 O 0.0052 0.6865 0.0479
7 O 0.0187 0.2972 0.0291
8 O 0.0603 0.0057 0.3145
9 O 0.1438 0.5062 0.7632
10 O 0.3186 0.9727 0.0563
11 O 0.4180 0.4855 0.5069
12 O 0.4306 0.1911 0.7898
13 O 0.4474 0.8012 0.7618
14 O 0.4974 0.5254 0.0445
15 O 0.7047 0.9969 0.0248
16 O 0.7253 0.0642 0.4224
17 O 0.7529 0.4868 0.7775
18 O 0.8495 0.9196 0.3918
19 O 0.9801 0.9753 0.7710

---

Record 3
Theoretical X-ray powder pattern of SrV2O6 for copper Kα, from DFT lattice parameters and positions (PBE+U).

Peak list (10 most intense, 2θ from 10° to 90°, sorted by position)
19.31 deg, d 4.597, rel. 41
27.45 deg, d 3.249, rel. 100
28.09 deg, d 3.177, rel. 27
29.15 deg, d 3.063, rel. 99
30.56 deg, d 2.925, rel. 34
30.96 deg, d 2.889, rel. 55
31.74 deg, d 2.819, rel. 28
41.24 deg, d 2.189, rel. 56
49.07 deg, d 1.857, rel. 39
57.14 deg, d 1.612, rel. 30

abc: 9.8284 3.7133 12.9970
angles: 90.00 90.00 90.00
Positions (direct):
1 Sr 0.1356 0.2500 0.1160
2 Sr 0.3644 0.7500 0.6160
3 Sr 0.6356 0.2500 0.3840
4 Sr 0.8644 0.7500 0.8840
5 V 0.0001 0.2500 0.6370
6 V 0.9999 0.7500 0.3630
7 V 0.2420 0.2500 0.4047
8 V 0.2580 0.7500 0.9047
9 V 0.5001 0.2500 0.8630
10 V 0.4999 0.7500 0.1370
11 V 0.7420 0.2500 0.0953
12 V 0.7580 0.7500 0.5953
13 O 0.0280 0.7500 0.2352
14 O 0.0353 0.2500 0.3980
15 O 0.1089 0.7500 0.9756
16 O 0.1691 0.2500 0.6094
17 O 0.1908 0.7500 0.4280
18 O 0.2160 0.7500 0.7825
19 O 0.2840 0.2500 0.2825
20 O 0.3092 0.2500 0.9280
21 O 0.3309 0.7500 0.1094
22 O 0.3911 0.2500 0.4756
23 O 0.4647 0.7500 0.8980
24 O 0.4720 0.2500 0.7352
25 O 0.5280 0.7500 0.2648
26 O 0.5353 0.2500 0.1020
27 O 0.6089 0.7500 0.5244
28 O 0.6691 0.2500 0.8906
29 O 0.6908 0.7500 0.0720
30 O 0.7160 0.7500 0.7175
31 O 0.7840 0.2500 0.2175
32 O 0.8092 0.2500 0.5720
33 O 0.8309 0.7500 0.3906
34 O 0.8911 0.2500 0.0244
35 O 0.9647 0.7500 0.6020
36 O 0.9720 0.2500 0.7648

---

Record 4
Theoretical X-ray powder pattern of MgMnO2 for copper Kα, from DFT lattice parameters and positions (PBE+U).

Peak list (10 most intense, 2θ from 10° to 90°, sorted by position)
10.69 deg, d 8.276, rel. 33
21.39 deg, d 4.154, rel. 48
21.59 deg, d 4.116, rel. 37
31.18 deg, d 2.869, rel. 60
34.02 deg, d 2.635, rel. 38
34.24 deg, d 2.619, rel. 100
34.57 deg, d 2.595, rel. 31
40.79 deg, d 2.212, rel. 31
48.47 deg, d 1.878, rel. 34
48.65 deg, d 1.872, rel. 32

abc: 3.0327 8.3677 8.4506
angles: 90.32 100.34 100.14
Positions (direct):
1 Mg 0.0000 0.0000 0.0000
2 Mg 0.1423 0.5227 0.7879
3 Mg 0.4206 0.1671 0.6555
4 Mg 0.7327 0.3554 0.1326
5 Mn 0.2366 0.8436 0.6599
6 Mn 0.4618 0.4816 0.4785
7 Mn 0.6752 0.0408 0.3093
8 Mn 0.8992 0.6789 0.1278
9 O 0.1658 0.1863 0.1601
10 O 0.2352 0.9982 0.4690
11 O 0.2437 0.5001 0.0188
12 O 0.4818 0.8695 0.0929
13 O 0.6595 0.6531 0.6949
14 O 0.9015 0.0229 0.7692
15 O 0.9021 0.5243 0.3189
16 O 0.9872 0.3363 0.6281

---

Record 5
Theoretical X-ray powder pattern of KCeSnWO6 for copper Kα, from DFT lattice parameters and positions (PBE+U).

Peak list (10 most intense, 2θ from 10° to 90°, sorted by position)
18.05 deg, d 4.913, rel. 10
20.88 deg, d 4.255, rel. 22
29.69 deg, d 3.009, rel. 100
42.49 deg, d 2.128, rel. 31
47.80 deg, d 1.903, rel. 9
52.69 deg, d 1.737, rel. 41
61.65 deg, d 1.504, rel. 19
69.91 deg, d 1.346, rel. 19
77.75 deg, d 1.228, rel. 6
85.36 deg, d 1.137, rel. 22

abc: 6.0175 6.0175 6.0175
angles: 60.00 60.00 60.00
Positions (direct):
1 K 0.0000 0.0000 0.0000
2 Ce 0.7500 0.7500 0.7500
3 Sn 0.5000 0.5000 0.5000
4 W 0.2500 0.2500 0.2500
5 O 0.0198 0.0198 0.4802
6 O 0.0198 0.4802 0.0198
7 O 0.0198 0.4802 0.4802
8 O 0.4802 0.0198 0.0198
9 O 0.4802 0.0198 0.4802
10 O 0.4802 0.4802 0.0198

---

Record 6
Theoretical X-ray powder pattern of K3CrF6 for copper Kα, from DFT lattice parameters and positions (PBE+U).

Peak list (10 most intense, 2θ from 10° to 90°, sorted by position)
17.24 deg, d 5.143, rel. 15
19.94 deg, d 4.454, rel. 19
28.34 deg, d 3.149, rel. 100
34.89 deg, d 2.571, rel. 17
40.51 deg, d 2.227, rel. 69
50.17 deg, d 1.818, rel. 30
58.63 deg, d 1.575, rel. 35
66.37 deg, d 1.408, rel. 18
73.69 deg, d 1.286, rel. 10
80.73 deg, d 1.190, rel. 18

abc: 6.2985 6.2985 6.2985
angles: 60.00 60.00 60.00
Positions (direct):
1 K 0.0000 0.0000 0.0000
2 K 0.2500 0.2500 0.2500
3 K 0.7500 0.7500 0.7500
4 Cr 0.5000 0.5000 0.5000
5 F 0.2816 0.2816 0.7184
6 F 0.2816 0.7184 0.2816
7 F 0.2816 0.7184 0.7184
8 F 0.7184 0.2816 0.2816
9 F 0.7184 0.2816 0.7184
10 F 0.7184 0.7184 0.2816